No. 1
This entry pairs a crystal structure of K2HfO6 with its calculated powder diffraction line list. Radiation: λ = 1.5418 Å (Cu Kα). Structure: a structure optimized by DFT (PBE).
Kinematic intensities with the Lorentz-polarization factor, no thermal factor.

Atomic structure:
Unit cell a=10.537 b=10.537 c=5.783 alpha=90.00 beta=90.00 gamma=98.73
Atoms (fractional coordinates):
1 K 0.106 0.894 0.833
2 K 0.112 0.388 0.500
3 K 0.388 0.112 0.500
4 K 0.394 0.606 0.833
5 K 0.606 0.394 0.167
6 K 0.612 0.888 0.500
7 K 0.888 0.612 0.500
8 K 0.894 0.106 0.167
9 Hf 0.250 0.250 0.000
10 Hf 0.250 0.750 0.342
11 Hf 0.750 0.250 0.658
12 Hf 0.750 0.750 0.000
13 O 0.120 0.880 0.322
14 O 0.122 0.378 0.000
15 O 0.126 0.158 0.759
16 O 0.134 0.634 0.106
17 O 0.145 0.645 0.584
18 O 0.158 0.126 0.241
19 O 0.342 0.374 0.241
20 O 0.355 0.855 0.584
21 O 0.366 0.866 0.106
22 O 0.374 0.342 0.759
23 O 0.378 0.122 0.000
24 O 0.380 0.620 0.322
25 O 0.620 0.380 0.678
26 O 0.622 0.878 0.000
27 O 0.626 0.658 0.241
28 O 0.634 0.134 0.894
29 O 0.645 0.145 0.416
30 O 0.658 0.626 0.759
31 O 0.842 0.874 0.759
32 O 0.855 0.355 0.416
33 O 0.866 0.366 0.894
34 O 0.874 0.842 0.241
35 O 0.878 0.622 0.000
36 O 0.880 0.120 0.678

Main lines, sorted by position (5° ≤ 2θ ≤ 70°):
| 2θ/deg | I (rel.) |
| --- | --- |
| 17.03 | 100 |
| 17.54 | 28 |
| 18.94 | 61 |
| 25.97 | 34 |
| 30.13 | 51 |
| 32.34 | 30 |
| 33.63 | 27 |
| 36.15 | 31 |



No. 2
This entry pairs a crystal structure of K2HfO6 with its calculated powder diffraction line list. Radiation: λ = 1.5418 Å (Cu Kα). Structure: a structure optimized by DFT (PBE).
Kinematic intensities with the Lorentz-polarization factor, no thermal factor.

Atomic structure:
Unit cell a=10.613 b=10.613 c=5.870 alpha=90.00 beta=90.00 gamma=112.75
Atoms (fractional coordinates):
1 K 0.119 0.881 0.990
2 K 0.130 0.370 0.500
3 K 0.370 0.130 0.500
4 K 0.381 0.619 0.990
5 K 0.619 0.381 0.010
6 K 0.630 0.870 0.500
7 K 0.870 0.630 0.500
8 K 0.881 0.119 0.010
9 Hf 0.000 0.500 0.000
10 Hf 0.250 0.750 0.503
11 Hf 0.500 0.000 0.000
12 Hf 0.750 0.250 0.497
13 O 0.118 0.382 0.000
14 O 0.124 0.624 0.751
15 O 0.125 0.625 0.250
16 O 0.136 0.864 0.504
17 O 0.144 0.200 0.844
18 O 0.200 0.144 0.156
19 O 0.300 0.356 0.156
20 O 0.356 0.300 0.844
21 O 0.364 0.636 0.504
22 O 0.375 0.875 0.250
23 O 0.376 0.876 0.751
24 O 0.382 0.118 0.000
25 O 0.618 0.882 0.000
26 O 0.624 0.124 0.249
27 O 0.625 0.125 0.750
28 O 0.636 0.364 0.496
29 O 0.644 0.700 0.156
30 O 0.700 0.644 0.844
31 O 0.800 0.856 0.844
32 O 0.856 0.800 0.156
33 O 0.864 0.136 0.496
34 O 0.875 0.375 0.750
35 O 0.876 0.376 0.249
36 O 0.882 0.618 0.000

Main lines, sorted by position (5° ≤ 2θ ≤ 70°):
| 2θ/deg | I (rel.) |
| --- | --- |
| 10.01 | 100 |
| 21.39 | 23 |
| 23.67 | 58 |
| 29.52 | 59 |
| 30.39 | 25 |
| 32.12 | 20 |
| 43.56 | 29 |
| 50.19 | 20 |



No. 3
This entry pairs a crystal structure of K4Hf5O12 with its calculated powder diffraction line list. Radiation: λ = 1.5418 Å (Cu Kα). Structure: a structure optimized by DFT (PBE).
Kinematic intensities with the Lorentz-polarization factor, no thermal factor.

Atomic structure:
Unit cell a=5.825 b=5.825 c=10.420 alpha=90.00 beta=90.00 gamma=120.00
Atoms (fractional coordinates):
1 K 0.000 0.000 0.176
2 K 0.000 0.000 0.824
3 K 0.333 0.667 0.614
4 K 0.667 0.333 0.386
5 Hf 0.000 0.000 0.500
6 Hf 0.333 0.667 0.283
7 Hf 0.333 0.667 0.976
8 Hf 0.667 0.333 0.024
9 Hf 0.667 0.333 0.717
10 O 0.019 0.509 0.123
11 O 0.165 0.329 0.378
12 O 0.165 0.835 0.378
13 O 0.329 0.165 0.622
14 O 0.491 0.509 0.123
15 O 0.491 0.981 0.123
16 O 0.509 0.019 0.877
17 O 0.509 0.491 0.877
18 O 0.671 0.835 0.378
19 O 0.835 0.165 0.622
20 O 0.835 0.671 0.622
21 O 0.981 0.491 0.877

Main lines, sorted by position (5° ≤ 2θ ≤ 70°):
| 2θ/deg | I (rel.) |
| --- | --- |
| 19.55 | 85 |
| 30.70 | 100 |
| 31.27 | 85 |
| 44.39 | 49 |
| 46.79 | 29 |
| 54.58 | 20 |
| 54.94 | 36 |
| 63.93 | 18 |



No. 4
This entry pairs a crystal structure of KPrHfSnO6 with its calculated powder diffraction line list. Radiation: λ = 1.5418 Å (Cu Kα). Structure: a structure optimized by DFT (PBE).
Kinematic intensities with the Lorentz-polarization factor, no thermal factor.

Atomic structure:
Unit cell a=5.807 b=5.807 c=5.807 alpha=60.00 beta=60.00 gamma=60.00
Atoms (fractional coordinates):
1 K 0.000 0.000 0.000
2 Pr 0.500 0.500 0.500
3 Hf 0.250 0.250 0.250
4 Sn 0.750 0.750 0.750
5 O 0.000 0.000 0.500
6 O 0.000 0.500 0.000
7 O 0.000 0.500 0.500
8 O 0.500 0.000 0.000
9 O 0.500 0.000 0.500
10 O 0.500 0.500 0.000

Main lines, sorted by position (5° ≤ 2θ ≤ 70°):
| 2θ/deg | I (rel.) |
| --- | --- |
| 18.71 | 15 |
| 21.64 | 13 |
| 30.79 | 100 |
| 36.28 | 9 |
| 44.11 | 31 |
| 49.64 | 6 |
| 54.76 | 41 |
| 64.15 | 19 |